Starting from a structure optimized by DFT (PBE), the powder diffractogram of Sm3Zn3Rh2 was simulated for copper Kα.

Most intense lines, 2θ from 10° to 80°, by angle:
- hkl 1 4 1, 29.77°, I 39
- hkl 2 4 0, 32.49°, I 67
- hkl 0 6 0, 33.39°, I 36
- hkl 1 1 2, 34.57°, I 72
- hkl 2 4 1, 36.33°, I 100
- hkl 1 3 2, 38.12°, I 74
- hkl 3 0 1, 39.19°, I 65
- hkl 1 4 2, 41.01°, I 51
- hkl 1 7 2, 52.89°, I 33
- hkl 5 4 2, 75.20°, I 26

Structural model:
a b c (Å): 7.5601 16.1017 5.6071
angles (deg): 90.00 90.00 90.00
Space group Pnma (No. 62)
Asymmetric unit:
1 Sm 0.0382 0.1055 0.1141 (multiplicity 8)
2 Sm 0.1674 0.2500 0.6399 (multiplicity 4)
3 Zn 0.1713 0.0317 0.5950 (multiplicity 8)
4 Zn 0.1752 0.7500 0.6345 (multiplicity 4)
5 Rh 0.1217 0.6148 0.3717 (multiplicity 8)

---

Starting from a structure optimized by DFT (PBE), the powder diffractogram of Sm2Zn16Rh was simulated for copper Kα.

Most intense lines, 2θ from 10° to 80°, by angle:
- hkl 1 1 3, 28.35°, I 28
- hkl 3 0 0, 34.51°, I 44
- hkl 0 2 4, 35.63°, I 33
- hkl 2 2 0, 40.06°, I 74
- hkl 0 3 3, 40.30°, I 100
- hkl 0 0 6, 41.02°, I 53
- hkl 2 0 5, 41.28°, I 29
- hkl 2 2 3, 45.25°, I 34
- hkl 2 2 6, 58.67°, I 24
- hkl 6 0 0, 72.80°, I 25

Structural model:
a b c (Å): 9.0032 9.0032 13.2083
angles (deg): 90.00 90.00 120.00
Space group R3m (No. 160, hexagonal axes)
Asymmetric unit:
1 Sm 0.0000 0.0000 0.0000 (multiplicity 3)
2 Sm 0.0000 0.0000 0.3301 (multiplicity 3)
3 Zn 0.0000 0.0000 0.5680 (multiplicity 3)
4 Zn 0.0002 0.2881 0.6712 (multiplicity 18)
5 Zn 0.0099 0.5050 0.8206 (multiplicity 9)
6 Zn 0.1678 0.3357 0.8510 (multiplicity 9)
7 Zn 0.1700 0.3401 0.5038 (multiplicity 9)
8 Rh 0.0000 0.0000 0.7678 (multiplicity 3)

---

Starting from a structure optimized by DFT (PBE), the powder diffractogram of SmZrRh was simulated for copper Kα.

Most intense lines, 2θ from 10° to 80°, by angle:
- hkl 1 3 1, 31.46°, I 100
- hkl 1 4 0, 34.77°, I 95
- hkl 2 0 0, 37.71°, I 40
- hkl 0 5 1, 38.81°, I 22
- hkl 1 4 2, 43.36°, I 13
- hkl 0 3 3, 44.34°, I 18
- hkl 2 1 3, 55.25°, I 25
- hkl 2 6 0, 59.55°, I 22
- hkl 3 4 0, 66.19°, I 14
- hkl 1 8 2, 69.60°, I 16

Structural model:
a b c (Å): 4.7711 12.2902 7.0711
angles (deg): 90.00 90.00 90.00
Space group Amm2 (No. 38)
Asymmetric unit:
1 Sm 0.0000 0.0000 0.0000 (multiplicity 2)
2 Sm 0.0000 0.2053 0.3837 (multiplicity 4)
3 Zr 0.5000 0.0000 0.3335 (multiplicity 2)
4 Zr 0.5000 0.1277 0.7171 (multiplicity 4)
5 Rh 0.0000 0.0000 0.5902 (multiplicity 2)
6 Rh 0.5000 0.1665 0.0898 (multiplicity 4)

---

Starting from a structure optimized by DFT (PBE), the powder diffractogram of Sn5Rh was simulated for copper Kα.

Most intense lines, 2θ from 10° to 80°, by angle:
- hkl 0 0 2, 12.85°, I 26
- hkl 2 1 1, 30.85°, I 54
- hkl 1 1 4, 32.25°, I 59
- hkl 2 1 3, 36.06°, I 100
- hkl 2 0 4, 37.66°, I 52
- hkl 3 1 0, 43.15°, I 56
- hkl 2 1 7, 56.09°, I 27
- hkl 4 1 3, 61.06°, I 17
- hkl 4 0 4, 62.15°, I 18
- hkl 3 3 4, 65.60°, I 25

Structural model:
a b c (Å): 6.6298 6.6298 13.7764
angles (deg): 90.00 90.00 90.00
Space group I4/mcm (No. 140)
Asymmetric unit:
1 Sn 0.0000 0.0000 0.0000 (multiplicity 4)
2 Sn 0.1602 0.3398 0.1522 (multiplicity 16)
3 Rh 0.0000 0.0000 0.2500 (multiplicity 4)

---

Starting from a structure optimized by DFT (PBE), the powder diffractogram of Sn4Rh was simulated for copper Kα.

Most intense lines, 2θ from 10° to 80°, by angle:
- hkl 2 0 0, 27.87°, I 23
- hkl 1 1 6, 30.43°, I 38
- hkl 0 0 8, 30.88°, I 41
- hkl 2 1 3, 33.38°, I 100
- hkl 2 1 5, 36.91°, I 76
- hkl 2 0 8, 42.08°, I 75
- hkl 3 1 2, 45.49°, I 54
- hkl 2 1 11, 54.06°, I 27
- hkl 4 1 3, 60.86°, I 26
- hkl 3 3 6, 66.54°, I 29

Structural model:
a b c (Å): 6.4014 6.4014 23.1626
angles (deg): 90.00 90.00 90.00
Space group I4_1/acd (No. 142, origin choice 2)
Asymmetric unit:
1 Sn 0.1738 0.0753 0.4378 (multiplicity 32)
2 Rh 0.0000 0.2500 0.1250 (multiplicity 8)

---

Starting from a structure optimized by DFT (PBE), the powder diffractogram of Sn5Rh2 was simulated for copper Kα.

Most intense lines, 2θ from 10° to 80°, by angle:
- hkl 0 2 1, 29.79°, I 93
- hkl 1 1 -2, 30.05°, I 73
- hkl 1 1 2, 32.79°, I 64
- hkl 2 2 1, 33.86°, I 81
- hkl 5 1 0, 35.19°, I 100
- hkl 4 2 -1, 37.61°, I 52
- hkl 5 1 1, 40.74°, I 66
- hkl 6 0 -2, 42.81°, I 55
- hkl 1 1 -3, 43.24°, I 75
- hkl 3 3 -1, 45.53°, I 52

Structural model:
a b c (Å): 14.1435 6.7781 6.6182
angles (deg): 90.00 103.32 90.00
Space group C2/c (No. 15)
Asymmetric unit:
1 Sn 0.0000 0.0562 0.2500 (multiplicity 4)
2 Sn 0.0889 0.3854 0.9635 (multiplicity 8)
3 Sn 0.2100 0.1124 0.2834 (multiplicity 8)
4 Rh 0.1111 0.2335 0.5985 (multiplicity 8)

---

Starting from a structure optimized by DFT (PBE), the powder diffractogram of Sn4Rh was simulated for copper Kα.

Most intense lines, 2θ from 10° to 80°, by angle:
- hkl 1 0 2, 25.28°, I 26
- hkl 1 1 1, 27.93°, I 23
- hkl 2 0 1, 31.80°, I 100
- hkl 1 1 2, 33.18°, I 67
- hkl 0 1 3, 34.25°, I 51
- hkl 0 2 2, 36.55°, I 54
- hkl 1 1 3, 40.60°, I 34
- hkl 2 1 1, 41.50°, I 89
- hkl 1 0 4, 44.12°, I 33
- hkl 1 2 4, 58.94°, I 21

Structural model:
a b c (Å): 6.8632 6.8632 8.7483
angles (deg): 90.00 90.00 120.00
Space group P3_121 (No. 152)
Asymmetric unit:
1 Sn 0.0000 0.0922 0.1667 (multiplicity 3)
2 Sn 0.0000 0.6300 0.1667 (multiplicity 3)
3 Sn 0.2374 0.4995 0.9297 (multiplicity 6)
4 Rh 0.0000 0.3092 0.6667 (multiplicity 3)

---

Starting from a structure optimized by DFT (PBE), the powder diffractogram of Sr3Sn13Rh4 was simulated for copper Kα.

Most intense lines, 2θ from 10° to 80°, by angle:
- hkl 3 2 0, 32.52°, I 100
- hkl 3 2 1, 33.78°, I 35
- hkl 4 0 0, 36.19°, I 23
- hkl 4 1 0, 37.35°, I 17
- hkl 4 2 0, 40.64°, I 13
- hkl 4 2 2, 44.72°, I 30
- hkl 4 3 3, 53.85°, I 16
- hkl 5 3 2, 57.20°, I 18
- hkl 6 2 2, 62.01°, I 11
- hkl 6 3 2, 65.86°, I 12

Structural model:
a b c (Å): 9.9276 9.9276 9.9276
angles (deg): 90.00 90.00 90.00
Space group Pm-3n (No. 223)
Asymmetric unit:
1 Sr 0.0000 0.2500 0.5000 (multiplicity 6)
2 Sn 0.0000 0.0000 0.0000 (multiplicity 2)
3 Sn 0.0000 0.3005 0.1536 (multiplicity 24)
4 Rh 0.2500 0.2500 0.2500 (multiplicity 8)

---

Starting from a structure optimized by DFT (PBE), the powder diffractogram of SrZnSn2Rh2 was simulated for copper Kα.

Most intense lines, 2θ from 10° to 80°, by angle:
- hkl 0 0 1, 14.73°, I 50
- hkl 1 1 0, 26.54°, I 23
- hkl 1 1 1, 30.48°, I 48
- hkl 1 0 2, 35.32°, I 100
- hkl 2 0 0, 37.89°, I 96
- hkl 1 1 2, 40.25°, I 37
- hkl 2 1 2, 52.76°, I 64
- hkl 2 2 0, 54.66°, I 33
- hkl 2 0 4, 74.71°, I 26
- hkl 3 2 2, 79.42°, I 20

Structural model:
a b c (Å): 4.7495 4.7495 6.0154
angles (deg): 90.00 90.00 90.00
Space group P4/mmm (No. 123)
Asymmetric unit:
1 Sr 0.0000 0.0000 0.0000 (multiplicity 1)
2 Zn 0.0000 0.0000 0.5000 (multiplicity 1)
3 Sn 0.5000 0.5000 0.2491 (multiplicity 2)
4 Rh 0.0000 0.5000 0.5000 (multiplicity 2)

---

Starting from a structure optimized by DFT (PBE), the powder diffractogram of Tb3SnRh8 was simulated for copper Kα.

Most intense lines, 2θ from 10° to 80°, by angle:
- hkl 0 1 8, 33.58°, I 26
- hkl 1 1 0, 33.74°, I 26
- hkl 1 0 10, 39.57°, I 33
- hkl 2 0 2, 39.73°, I 100
- hkl 0 0 12, 41.34°, I 10
- hkl 0 2 4, 41.60°, I 29
- hkl 1 2 8, 60.24°, I 10
- hkl 3 0 6, 64.33°, I 32
- hkl 0 2 16, 70.58°, I 17
- hkl 2 2 0, 70.95°, I 17

Structural model:
a b c (Å): 5.3134 5.3134 26.2108
angles (deg): 90.00 90.00 120.00
Space group R3m (No. 160, hexagonal axes)
Asymmetric unit:
1 Tb 0.0000 0.0000 0.0000 (multiplicity 3)
2 Tb 0.0000 0.0000 0.1278 (multiplicity 3)
3 Tb 0.0000 0.0000 0.6199 (multiplicity 3)
4 Sn 0.0000 0.0000 0.4974 (multiplicity 3)
5 Rh 0.0000 0.0000 0.3118 (multiplicity 3)
6 Rh 0.0000 0.0000 0.8123 (multiplicity 3)
7 Rh 0.0007 0.5004 0.5618 (multiplicity 9)
8 Rh 0.0014 0.5007 0.0619 (multiplicity 9)

---

Starting from a structure optimized by DFT (PBE), the powder diffractogram of Tb3Sn2Rh was simulated for copper Kα.

Most intense lines, 2θ from 10° to 80°, by angle:
- hkl 3 0 2, 26.43°, I 32
- hkl 2 1 2, 29.27°, I 56
- hkl 0 1 3, 30.72°, I 100
- hkl 1 0 4, 31.54°, I 33
- hkl 4 0 2, 32.71°, I 40
- hkl 3 1 2, 33.52°, I 63
- hkl 4 1 1, 36.31°, I 62
- hkl 1 1 4, 37.78°, I 39
- hkl 2 1 4, 39.87°, I 44
- hkl 0 2 0, 41.17°, I 60

Structural model:
a b c (Å): 12.4013 4.3851 11.6651
angles (deg): 90.00 90.00 90.00
Space group Pnma (No. 62)
Asymmetric unit:
1 Tb 0.0518 0.2500 0.1301 (multiplicity 4)
2 Tb 0.1215 0.7500 0.5463 (multiplicity 4)
3 Tb 0.2402 0.2500 0.7903 (multiplicity 4)
4 Sn 0.0020 0.2500 0.6910 (multiplicity 4)
5 Sn 0.1871 0.7500 0.0000 (multiplicity 4)
6 Rh 0.1277 0.2500 0.3686 (multiplicity 4)